No. 1
Structure and computed powder diffractogram of Sm2Cd6In5 (a crystal structure in Alexandria, relaxed with PBE; a wavelength of 1.5418 Å).
Kinematic intensities with the Lorentz-polarization factor, no thermal factor.

Atomic structure:
abc: 8.944 8.944 8.944
angles: 60.26 60.26 60.26
Sites, in units of the cell vectors:
Sm  0.140  0.140  0.140
Sm  0.860  0.860  0.860
Cd  0.180  0.500  0.820
Cd  0.180  0.820  0.500
Cd  0.500  0.180  0.820
Cd  0.500  0.820  0.180
Cd  0.820  0.180  0.500
Cd  0.820  0.500  0.180
In  0.000  0.000  0.000
In  0.281  0.281  0.281
In  0.423  0.423  0.423
In  0.577  0.577  0.577
In  0.719  0.719  0.719

Peak list (10 most intense, 15° ≤ 2θ ≤ 90°, most intense first)
| 2theta | I/Imax |
| --- | --- |
| 34.61 | 100.0 |
| 19.78 | 49.1 |
| 42.23 | 40.6 |
| 30.85 | 38.7 |
| 36.93 | 35.9 |
| 36.80 | 35.6 |
| 51.53 | 29.8 |
| 23.27 | 22.0 |
| 42.81 | 18.2 |
| 62.02 | 17.2 |

No. 2
Structure and computed powder diffractogram of Nd2ZnNi7 (a crystal structure in Alexandria, relaxed with PBE; a wavelength of 1.5418 Å).
Kinematic intensities with the Lorentz-polarization factor, no thermal factor.

Atomic structure:
abc: 3.895 3.895 10.306
angles: 90.00 90.00 90.00
Sites, in units of the cell vectors:
Nd  0.000  0.500  0.238
Nd  0.500  0.000  0.762
Zn  0.000  0.000  0.500
Ni  0.000  0.000  0.000
Ni  0.000  0.500  0.641
Ni  0.000  0.500  0.865
Ni  0.500  0.000  0.135
Ni  0.500  0.000  0.359
Ni  0.500  0.500  0.000
Ni  0.500  0.500  0.500

Peak list (10 most intense, 15° ≤ 2θ ≤ 90°, most intense first)
| 2theta | I/Imax |
| --- | --- |
| 37.01 | 100.0 |
| 34.82 | 64.8 |
| 46.64 | 48.0 |
| 50.07 | 30.6 |
| 59.50 | 29.9 |
| 70.83 | 20.7 |
| 80.12 | 19.6 |
| 68.09 | 16.4 |
| 32.51 | 16.0 |
| 63.87 | 9.0 |

No. 3
Structure and computed powder diffractogram of Bi4O5 (a crystal structure in Alexandria, relaxed with PBE; a wavelength of 1.5418 Å).
Kinematic intensities with the Lorentz-polarization factor, no thermal factor.

Atomic structure:
abc: 7.930 7.930 5.666
angles: 96.82 96.82 86.89
Sites, in units of the cell vectors:
Bi  0.094  0.906  0.500
Bi  0.157  0.432  0.585
Bi  0.323  0.661  0.042
Bi  0.432  0.157  0.085
Bi  0.632  0.832  0.570
Bi  0.661  0.323  0.542
Bi  0.832  0.632  0.070
Bi  0.906  0.094  0.000
O  0.102  0.623  0.292
O  0.164  0.996  0.165
O  0.347  0.382  0.918
O  0.382  0.347  0.418
O  0.573  0.721  0.885
O  0.623  0.102  0.792
O  0.721  0.573  0.385
O  0.842  0.888  0.279
O  0.888  0.842  0.779
O  0.996  0.164  0.665

Peak list (10 most intense, 15° ≤ 2θ ≤ 90°, most intense first)
| 2theta | I/Imax |
| --- | --- |
| 26.18 | 100.0 |
| 29.20 | 76.7 |
| 32.02 | 31.3 |
| 31.50 | 24.1 |
| 41.45 | 21.5 |
| 51.86 | 19.0 |
| 32.85 | 18.9 |
| 24.89 | 15.3 |
| 46.53 | 14.8 |
| 25.73 | 12.4 |

No. 4
Structure and computed powder diffractogram of BaMg5Au2 (a crystal structure in Alexandria, relaxed with PBE; a wavelength of 1.5418 Å).
Kinematic intensities with the Lorentz-polarization factor, no thermal factor.

Atomic structure:
abc: 7.192 7.192 7.192
angles: 143.64 110.09 81.45
Sites, in units of the cell vectors:
Ba  0.000  0.000  0.000
Mg  0.154  0.339  0.815
Mg  0.476  0.661  0.815
Mg  0.500  0.000  0.500
Mg  0.524  0.339  0.185
Mg  0.846  0.661  0.185
Au  0.252  0.752  0.500
Au  0.748  0.248  0.500

Peak list (10 most intense, 15° ≤ 2θ ≤ 90°, most intense first)
| 2theta | I/Imax |
| --- | --- |
| 27.94 | 100.0 |
| 21.57 | 46.2 |
| 41.97 | 43.0 |
| 40.21 | 34.1 |
| 39.65 | 30.3 |
| 16.26 | 29.7 |
| 22.56 | 21.7 |
| 57.73 | 20.2 |
| 55.71 | 18.6 |
| 32.86 | 16.9 |